No. 1
This entry pairs a crystal structure of ScIn2Os with its theoretical powder diffraction line list. Radiation: Cu Kα. Structure: a crystal structure in Alexandria, relaxed with GGA-PBE.

Top 6 peaks for 2θ = 5–70°, most intense first:
2θ 35.7, I = 100
2θ 39.9, I = 92
2θ 10.8, I = 77
2θ 39.1, I = 73
2θ 28.0, I = 43
2θ 32.1, I = 31

Atomic structure:
```
ScIn2Os
1.0
3.197 0.000 0.000
0.000 1.627 8.164
0.000 -1.627 8.164
Sc In Os
1 2 1
Cartesian
0.000 0.000 0.000
0.000 0.000 13.145
1.598 0.000 10.483
1.598 0.000 6.668
```

***

No. 2
This entry pairs a crystal structure of Sc6In2Os with its theoretical powder diffraction line list. Radiation: Cu Kα. Structure: a crystal structure in Alexandria, relaxed with GGA-PBE.

Top 6 peaks for 2θ = 5–70°, most intense first:
2θ 22.1, I = 100
2θ 35.6, I = 96
2θ 42.3, I = 93
2θ 38.8, I = 75
2θ 27.6, I = 65
2θ 63.5, I = 37

Atomic structure:
```
Sc6In2Os
1.0
8.049 0.000 0.000
-4.025 6.971 0.000
0.000 0.000 3.644
Sc In Os
6 2 1
Cartesian
-0.986 1.708 0.000
-2.498 4.326 1.822
1.972 0.000 0.000
1.527 2.644 1.822
4.996 0.000 1.822
3.039 5.263 0.000
0.000 4.647 0.000
4.025 2.324 0.000
0.000 0.000 1.822
```